No. 1
Structure and calculated PXRD pattern of TlH6SeN2 (the PBE geometry in Alexandria; λ = 1.5418 Å (Cu Kα)).
Neutral-atom scattering factors, no anomalous dispersion.

Main lines, by angle (2θ from 10° to 90°):
Position (°2θ), I_rel, h k l
15.21, 1000, 2 0 0
18.86, 231, 0 2 0
20.16, 593, 1 1 -1
20.34, 580, 1 1 1
29.48, 219, 1 3 0
29.58, 237, 3 1 -1
29.95, 231, 3 1 1
30.71, 330, 4 0 0
32.70, 271, 0 0 2
33.76, 296, 1 3 -1
33.87, 293, 1 3 1
41.38, 191, 2 4 0

Cell and atoms:
abc: 11.648 9.413 5.477
angles: 90.00 90.81 90.00
Space group C2/c (No. 15)
Asymmetric unit:
Tl 0.000 0.231 0.250
H 0.178 0.237 0.757
H 0.240 0.384 0.104
H 0.246 0.378 0.404
Se 0.000 0.462 0.750
N 0.245 0.317 0.250


No. 2
Structure and calculated PXRD pattern of ZnH6Se4N2 (the PBE geometry in Alexandria; λ = 1.5418 Å (Cu Kα)).
Neutral-atom scattering factors, no anomalous dispersion.

Main lines, by angle (2θ from 10° to 90°):
Position (°2θ), I_rel, h k l
16.56, 343, 0 1 1
16.93, 527, 1 0 -1
17.92, 619, 1 1 0
18.56, 1000, 1 1 -1
22.79, 410, 1 2 -1
27.23, 522, 0 3 1
28.53, 345, 1 3 -1
29.94, 515, 2 0 -1
30.56, 607, 0 4 0
30.68, 546, 0 1 2
42.24, 347, 2 1 1
52.59, 420, 3 3 -2

Cell and atoms:
abc: 5.977 11.702 6.583
angles: 90.00 113.91 90.00
Space group P2_1 (No. 4)
Asymmetric unit:
Zn 0.173 0.000 0.116
H 0.008 0.343 0.195
H 0.184 0.493 0.744
H 0.203 0.915 0.753
H 0.261 0.416 0.973
H 0.284 0.816 0.949
H 0.300 0.557 0.988
Se 0.032 0.181 0.629
Se 0.282 0.188 0.022
Se 0.375 0.730 0.428
Se 0.440 0.931 0.487
N 0.161 0.881 0.878
N 0.183 0.493 0.900